This entry pairs a crystal structure of Cs2In5Au4 with its calculated powder XRD pattern. Radiation: Cu Kα. Structure: a PBE-relaxed structure.
Peak positions follow from Bragg's law for the DFT cell and can differ from measured ones.

Main lines, sorted by position (2θ from 10° to 90°):
hkl 0 0 1, 7.541 Å, 2θ 11.73, I 45; hkl 1 1 0, 6.216 Å, 2θ 14.25, I 74; hkl 0 2 0, 4.005 Å, 2θ 22.20, I 49; hkl 2 0 1, 3.358 Å, 2θ 26.54, I 100; hkl 2 2 -2, 2.963 Å, 2θ 30.16, I 39; hkl 4 2 -1, 2.327 Å, 2θ 38.69, I 63; hkl 5 1 -3, 2.203 Å, 2θ 40.96, I 32; hkl 1 3 -3, 1.946 Å, 2θ 46.67, I 31

Structure:
```
data_Cs2In5Au4
_chemical_formula_sum 'Cs4 In10 Au8'
_space_group_name_H-M_alt 'C 1 2/m 1'
_space_group_IT_number 12
_cell_length_a 11.8725
_cell_length_b 8.0093
_cell_length_c 9.0824
_cell_angle_alpha 90.00
_cell_angle_beta 123.87
_cell_angle_gamma 90.00
loop_
_space_group_symop_operation_xyz
'x,y,z'
'-x,-y,-z'
'-x,y,-z'
'x,-y,z'
'x+1/2,y+1/2,z'
'-x+1/2,-y+1/2,-z'
'-x+1/2,y+1/2,-z'
'x+1/2,-y+1/2,z'
loop_
_atom_site_label
_atom_site_type_symbol
_atom_site_fract_x
_atom_site_fract_y
_atom_site_fract_z
Cs1 Cs 0.0788 0.0000 0.3508
In1 In 0.0000 0.5000 0.5000
In2 In 0.1575 0.2992 0.0798
Au1 Au 0.0737 0.5000 0.2572
Au2 Au 0.2103 0.5000 0.8579
```